Record 1
Diffraction record for Ta4CrSe8. The XRD peak list is theoretical, not measured: it uses the GGA-PBE geometry in the Materials Project and Cu Kα.

Cell and atoms:
```
data_Ta4CrSe8
_symmetry_space_group_name_H-M 'P 63/m m c'
_symmetry_Int_Tables_number 194
_symmetry_space_group_name_Hall '-P 6c 2c'
_cell_length_a 6.8966
_cell_length_b 6.8966
_cell_length_c 12.6747
_cell_angle_alpha 90.00
_cell_angle_beta 90.00
_cell_angle_gamma 120.00
loop_
_atom_site_label
_atom_site_type_symbol
_atom_site_fract_x
_atom_site_fract_y
_atom_site_fract_z
Ta1 Ta 0.0000 0.0000 0.2500
Ta2 Ta 0.0094 0.5047 0.2500
Cr1 Cr 0.0000 0.0000 0.0000
Se1 Se 0.1662 0.3323 0.6169
Se2 Se 0.3333 0.6667 0.1151
```

Principal peaks in the range 10° ≤ 2θ ≤ 80°, low angle first:
d 6.337, rel. 72; d 2.907, rel. 27; d 2.701, rel. 77; d 2.439, rel. 24; d 2.173, rel. 100; d 1.724, rel. 55


Record 2
Diffraction record for Sr3B2N4. The XRD peak list is theoretical, not measured: it uses the GGA-PBE geometry in the Materials Project and Cu Kα.

Cell and atoms:
```
data_Sr3B2N4
_symmetry_space_group_name_H-M 'P m -3 m'
_symmetry_Int_Tables_number 221
_symmetry_space_group_name_Hall '-P 4 2 3'
_cell_length_a 7.690
_cell_length_b 7.690
_cell_length_c 7.690
_cell_angle_alpha 90.00
_cell_angle_beta 90.00
_cell_angle_gamma 90.00
loop_
_atom_site_label
_atom_site_type_symbol
_atom_site_fract_x
_atom_site_fract_y
_atom_site_fract_z
Sr1 Sr 0.000 0.000 0.000
Sr2 Sr 0.263 0.263 0.263
B1 B 0.000 0.000 0.500
B2 B 0.000 0.500 0.500
N1 N 0.000 0.000 0.325
N2 N 0.175 0.500 0.500
```

Principal peaks in the range 10° ≤ 2θ ≤ 80°, low angle first:
d 3.845, rel. 40; d 2.719, rel. 100; d 2.220, rel. 22; d 1.923, rel. 21; d 1.720, rel. 21; d 1.570, rel. 28


Record 3
Diffraction record for V3CrN3. The XRD peak list is theoretical, not measured: it uses the GGA-PBE geometry in the Materials Project and Cu Kα.

Cell and atoms:
```
data_V3CrN3
_symmetry_space_group_name_H-M 'P 63/m m c'
_symmetry_Int_Tables_number 194
_symmetry_space_group_name_Hall '-P 6c 2c'
_cell_length_a 6.6358
_cell_length_b 6.6358
_cell_length_c 4.0160
_cell_angle_alpha 90.00
_cell_angle_beta 90.00
_cell_angle_gamma 120.00
loop_
_atom_site_label
_atom_site_type_symbol
_atom_site_fract_x
_atom_site_fract_y
_atom_site_fract_z
V1 V 0.1650 0.3301 0.2500
Cr1 Cr 0.3333 0.6667 0.7500
N1 N 0.1743 0.3486 0.7500
```

Principal peaks in the range 10° ≤ 2θ ≤ 80°, low angle first:
d 2.873, rel. 69; d 2.337, rel. 100; d 2.008, rel. 29; d 1.659, rel. 43; d 1.646, rel. 21; d 1.279, rel. 32